# 1
Ca3Ac5Te8: computed powder XRD pattern (copper Kα), based on a cell relaxed with GGA-PBE.

Most intense lines, 10 to 90 degrees two-theta, sorted by position:
27.07°, I 100, hkl 0 2 4; 38.46°, I 39, hkl 2 0 8; 38.85°, I 39, hkl 2 2 0; 47.99°, I 21, hkl 4 0 4; 62.83°, I 18, hkl 2 2 12; 63.39°, I 18, hkl 2 4 4

Structure:
Cell: 9.2712 9.2712 23.0502 Å, 90.00 90.00 120.00°
Space group R-3m (No. 166, hexagonal axes)
One atom of each set of equivalent atoms:
Ca1 0.0000 0.5000 0.0000 (multiplicity 9)
Ac1 0.0000 0.0000 0.0000 (multiplicity 3)
Ac2 0.0000 0.0000 0.5000 (multiplicity 3)
Ac3 0.0000 0.5000 0.5000 (multiplicity 9)
Te1 0.0000 0.0000 0.2560 (multiplicity 6)
Te2 0.0088 0.5044 0.2544 (multiplicity 18)

# 2
Tb3Er8Sc2: computed powder XRD pattern (copper Kα), based on a cell relaxed with GGA-PBE.

Most intense lines, 10 to 90 degrees two-theta, sorted by position:
25.27°, I 24, hkl 2 2 -1; 29.76°, I 38, hkl 2 2 1; 31.65°, I 49, hkl 4 0 -2; 32.79°, I 100, hkl 1 1 2; 34.06°, I 44, hkl 5 1 0; 36.02°, I 23, hkl 3 3 -1

Structure:
Cell: 14.569 9.013 6.648 Å, 90.00 109.19 90.00°
Space group C2/m (No. 12)
One atom of each set of equivalent atoms:
Tb1 0.000 0.000 0.000 (multiplicity 2)
Tb2 0.000 0.172 0.500 (multiplicity 4)
Er1 0.090 0.500 0.723 (multiplicity 4)
Er2 0.120 0.319 0.191 (multiplicity 8)
Er3 0.191 0.000 0.896 (multiplicity 4)
Sc1 0.205 0.000 0.423 (multiplicity 4)

# 3
LaPmWN4: computed powder XRD pattern (copper Kα), based on a cell relaxed with GGA-PBE.

Most intense lines, 10 to 90 degrees two-theta, sorted by position:
14.05°, I 15, hkl 0 0 2; 30.95°, I 100, hkl 1 0 3; 31.80°, I 59, hkl 1 1 0; 45.59°, I 27, hkl 2 0 0; 54.51°, I 17, hkl 1 1 6; 56.12°, I 40, hkl 2 1 3

Structure:
Cell: 3.980 3.980 12.603 Å, 90.00 90.00 90.00°
Space group I4mm (No. 107)
One atom of each set of equivalent atoms:
La1 0.000 0.000 0.000 (multiplicity 2)
Pm1 0.000 0.000 0.709 (multiplicity 2)
W1 0.000 0.000 0.353 (multiplicity 2)
N1 0.000 0.000 0.189 (multiplicity 2)
N2 0.000 0.000 0.519 (multiplicity 2)
N3 0.000 0.500 0.352 (multiplicity 4)